[1]
Starting from a cell relaxed with PBE+U, the powder X-ray diffraction pattern of Mn2As2O7 was computed for Cu Kα X-rays.

Cell and atoms:
```
Mn2As2O7
1.0
4.9024 0.0000 0.0000
-0.7493 5.5766 0.0000
-0.7594 -1.5857 5.3453
Mn As O
2 2 7
direct
0.0000 0.0000 0.0000
0.0028 0.6144 0.3809
0.4094 0.5308 0.9236
0.6018 0.0705 0.4647
0.2136 0.3841 0.0914
0.2187 0.6857 0.7588
0.2768 0.9203 0.3031
0.5377 0.2821 0.7371
0.7193 0.7116 0.0931
0.7888 0.2360 0.3074
0.7941 0.8997 0.6121
```

Most intense lines, 10 to 80 degrees two-theta, by intensity:
27.32°, intensity 1000
29.07°, intensity 539
27.13°, intensity 510
33.53°, intensity 333
53.24°, intensity 241
19.87°, intensity 165
46.26°, intensity 159
42.09°, intensity 124
50.52°, intensity 114
65.12°, intensity 114

---

[2]
Starting from a cell relaxed with PBE+U, the powder X-ray diffraction pattern of Na2Te4MoO12 was computed for Cu Kα X-rays.

Cell and atoms:
```
Na2Te4MoO12
1.0
8.7658 -2.9750 0.0000
8.7658 2.9750 0.0000
-3.0121 0.0000 11.0695
Na Te Mo O
4 8 2 24
direct
0.0168 0.5628 0.7361
0.4372 0.9832 0.7639
0.5628 0.0168 0.2361
0.9832 0.4372 0.2639
0.1304 0.6802 0.4036
0.1707 0.5161 0.0666
0.3198 0.8696 0.0964
0.4839 0.8293 0.4334
0.5161 0.1707 0.5666
0.6802 0.1304 0.9036
0.8293 0.4839 0.9334
0.8696 0.3198 0.5964
0.3380 0.6620 0.7500
0.6620 0.3380 0.2500
0.0046 0.3137 0.7530
0.1280 0.8252 0.8563
0.1660 0.3161 0.0709
0.1748 0.8720 0.6437
0.2865 0.4913 0.6620
0.3137 0.0046 0.2530
0.3161 0.1660 0.5709
0.3264 0.3488 0.4107
0.3488 0.3264 0.9107
0.3661 0.6124 0.3659
0.3876 0.6339 0.1341
0.4913 0.2865 0.1620
0.5087 0.7135 0.8380
0.6124 0.3661 0.8659
0.6339 0.3876 0.6341
0.6512 0.6736 0.0893
0.6736 0.6512 0.5893
0.6839 0.8340 0.4291
0.6863 0.9954 0.7470
0.7135 0.5087 0.3380
0.8252 0.1280 0.3563
0.8340 0.6839 0.9291
0.8720 0.1748 0.1437
0.9954 0.6863 0.2470
```

Most intense lines, 10 to 80 degrees two-theta, by intensity:
27.75°, intensity 1000
21.67°, intensity 993
29.59°, intensity 640
30.08°, intensity 524
29.76°, intensity 487
42.79°, intensity 280
33.73°, intensity 247
24.46°, intensity 223
33.62°, intensity 213
50.09°, intensity 211

---

[3]
Starting from a cell relaxed with PBE+U, the powder X-ray diffraction pattern of La6Sm2Co7AgO24 was computed for Cu Kα X-rays.

Cell and atoms:
```
La6Sm2Co7AgO24
1.0
7.6891 0.0000 0.0000
0.0000 5.4181 5.4220
0.0000 -5.4181 5.4220
La Sm Co Ag O
6 2 7 1 24
direct
0.2468 0.0000 0.0000
0.2473 0.9995 0.4938
0.2473 0.4937 0.9995
0.7532 0.0000 0.0000
0.7527 0.9995 0.4938
0.7527 0.4937 0.9995
0.2457 0.4933 0.4933
0.7543 0.4933 0.4933
0.0000 0.2474 0.2474
0.0000 0.2479 0.7460
0.0000 0.7460 0.2479
0.0000 0.7479 0.7479
0.5000 0.2477 0.2477
0.5000 0.2478 0.7466
0.5000 0.7466 0.2479
0.5000 0.7473 0.7473
0.0000 0.2467 0.9976
0.0000 0.2526 0.4955
0.0000 0.4955 0.2526
0.0000 0.4960 0.7406
0.0000 0.7406 0.4960
0.0000 0.7464 0.9971
0.0000 0.9971 0.7464
0.0000 0.9976 0.2467
0.2386 0.7396 0.7396
0.2472 0.2494 0.7432
0.2472 0.7432 0.2494
0.2482 0.2499 0.2499
0.5000 0.0102 0.7448
0.5000 0.2471 0.9987
0.5000 0.2506 0.4943
0.5000 0.4840 0.7384
0.5000 0.4943 0.2506
0.5000 0.7384 0.4840
0.5000 0.7448 0.0102
0.5000 0.9987 0.2471
0.7518 0.2499 0.2499
0.7528 0.2494 0.7432
0.7528 0.7432 0.2494
0.7614 0.7396 0.7396
```

Most intense lines, 10 to 80 degrees two-theta, by intensity:
33.02°, intensity 1000
58.95°, intensity 251
47.44°, intensity 207
69.25°, intensity 151
40.73°, intensity 144
59.02°, intensity 125
78.99°, intensity 107
47.29°, intensity 105
23.18°, intensity 91
78.74°, intensity 54

---

[4]
Starting from a cell relaxed with PBE+U, the powder X-ray diffraction pattern of Ba2DyMoO6 was computed for Cu Kα X-rays.

Cell and atoms:
```
Ba2DyMoO6
1.0
0.0000 4.2526 4.2526
4.2526 0.0000 4.2526
4.2526 4.2526 0.0000
Ba Dy Mo O
2 1 1 6
direct
0.2500 0.2500 0.2500
0.7500 0.7500 0.7500
0.0000 0.0000 0.0000
0.5000 0.5000 0.5000
0.2641 0.2641 0.7359
0.2641 0.7359 0.2641
0.2641 0.7359 0.7359
0.7359 0.2641 0.2641
0.7359 0.2641 0.7359
0.7359 0.7359 0.2641
```

Most intense lines, 10 to 80 degrees two-theta, by intensity:
29.71°, intensity 1000
52.72°, intensity 402
42.52°, intensity 295
61.69°, intensity 184
69.96°, intensity 179
77.80°, intensity 61
18.06°, intensity 23
34.99°, intensity 23
36.60°, intensity 17
46.54°, intensity 14

---

[5]
Starting from a cell relaxed with PBE+U, the powder X-ray diffraction pattern of MnP2O7 was computed for Cu Kα X-rays.

Cell and atoms:
```
MnP2O7
1.0
4.7302 -4.0160 0.0000
4.7302 4.0160 0.0000
-4.4877 0.0000 12.3661
Mn P O
4 8 28
direct
0.0900 0.6214 0.8572
0.3786 0.9100 0.6428
0.6214 0.0900 0.3572
0.9100 0.3786 0.1428
0.0861 0.1661 0.9300
0.1661 0.0861 0.4300
0.2497 0.4174 0.6363
0.4174 0.2497 0.1363
0.5826 0.7503 0.8637
0.7503 0.5826 0.3637
0.8339 0.9139 0.5700
0.9139 0.8339 0.0700
0.0275 0.9387 0.8547
0.0613 0.9725 0.6453
0.0738 0.5257 0.7022
0.0985 0.7118 0.0099
0.1069 0.3053 0.5186
0.1454 0.3093 0.8646
0.2260 0.4127 0.1763
0.2882 0.9015 0.4901
0.3053 0.1069 0.0186
0.3093 0.1454 0.3646
0.3825 0.5874 0.6185
0.4127 0.2260 0.6763
0.4126 0.6175 0.8815
0.4743 0.9262 0.7978
0.5257 0.0738 0.2022
0.5874 0.3825 0.1185
0.5873 0.7740 0.3237
0.6175 0.4126 0.3815
0.6907 0.8546 0.6354
0.6947 0.8931 0.9814
0.7118 0.0985 0.5099
0.7740 0.5873 0.8237
0.8546 0.6907 0.1354
0.8931 0.6947 0.4814
0.9015 0.2882 0.9901
0.9262 0.4743 0.2978
0.9387 0.0275 0.3547
0.9725 0.0613 0.1453
```

Most intense lines, 10 to 80 degrees two-theta, by intensity:
17.94°, intensity 1000
30.16°, intensity 631
23.27°, intensity 334
28.88°, intensity 332
30.61°, intensity 328
18.16°, intensity 285
14.89°, intensity 181
19.97°, intensity 181
44.50°, intensity 141
36.33°, intensity 128